1.
Structure and theoretical X-ray diffraction stick pattern of MgFe6Sb10I6O18 (a crystal structure in the Materials Project, relaxed with PBE+U; copper Kα).

Crystal structure
Cell: 8.3012 9.3174 12.5896 Å, 78.85 89.35 77.66°
Fractional coordinates of all 41 atoms:
Mg  0.0000  0.0000  0.0000
Fe  0.1587  0.7130  0.8775
Fe  0.2564  0.6232  0.1434
Fe  0.5127  0.6299  0.6897
Fe  0.5489  0.6153  0.9362
Fe  0.7994  0.6463  0.4715
Fe  0.9120  0.5383  0.7466
Sb  0.0043  0.4023  0.0514
Sb  0.0704  0.8332  0.5879
Sb  0.2416  0.4900  0.5587
Sb  0.3110  0.3717  0.8325
Sb  0.3459  0.9630  0.0033
Sb  0.4102  0.8124  0.3092
Sb  0.6057  0.4642  0.3168
Sb  0.6789  0.3207  0.6071
Sb  0.7486  0.8660  0.8076
Sb  0.8013  0.7340  0.0769
I  0.0087  0.9145  0.2399
I  0.2698  0.9916  0.7453
I  0.4072  0.3211  0.1221
I  0.6484  0.9336  0.5128
I  0.7746  0.2517  0.8860
I  0.9728  0.3448  0.4109
O  0.0144  0.6600  0.5309
O  0.0389  0.5811  0.1088
O  0.0836  0.4867  0.9036
O  0.1406  0.4340  0.7066
O  0.2975  0.6837  0.5948
O  0.3227  0.7370  0.9969
O  0.3701  0.6092  0.2850
O  0.3778  0.5679  0.8322
O  0.4538  0.8754  0.1565
O  0.4584  0.3947  0.6760
O  0.5434  0.4020  0.4684
O  0.6302  0.8111  0.9476
O  0.6455  0.6647  0.3446
O  0.6965  0.6664  0.7889
O  0.7326  0.5176  0.6192
O  0.7690  0.5368  0.0360
O  0.9315  0.8322  0.9416
O  0.9928  0.7538  0.7392

Principal peaks in the range 10 to 80 degrees two-theta, in order of rising 2θ:
2θ/deg  intensity
19.89  45
20.59  51
22.88  57
26.69  100
29.19  58
30.12  76
31.87  37
32.68  57
34.91  42
39.78  28


2.
Structure and theoretical X-ray diffraction stick pattern of MgMo2O7 (a crystal structure in the Materials Project, relaxed with PBE+U; copper Kα).

Crystal structure
Cell: 6.4592 6.7979 8.2019 Å, 90.00 106.89 90.00°
Fractional coordinates of all 20 atoms:
Mg  0.0994  0.0000  0.1425
Mg  0.9006  0.5000  0.8575
Mo  0.1012  0.5051  0.2930
Mo  0.3650  0.5477  0.7258
Mo  0.6350  0.0477  0.2742
Mo  0.8988  0.0051  0.7070
O  0.0426  0.6231  0.0847
O  0.1286  0.4247  0.7486
O  0.1372  0.9833  0.6555
O  0.1868  0.2609  0.2681
O  0.3008  0.6228  0.4883
O  0.4008  0.8925  0.2216
O  0.4212  0.7398  0.8672
O  0.5788  0.2398  0.1328
O  0.5992  0.3925  0.7784
O  0.6992  0.1228  0.5117
O  0.8132  0.7609  0.7319
O  0.8628  0.4833  0.3445
O  0.8714  0.9247  0.2514
O  0.9574  0.1231  0.9153

Principal peaks in the range 10 to 80 degrees two-theta, in order of rising 2θ:
2θ/deg  intensity
19.41  53
20.26  100
22.66  56
24.55  20
26.22  43
27.78  35
33.12  30
34.92  22
35.69  22
38.57  19


3.
Structure and theoretical X-ray diffraction stick pattern of LiMn3Al2H6O12 (a crystal structure in the Materials Project, relaxed with PBE+U; copper Kα).

Crystal structure
Cell: 5.9832 7.8342 9.6557 Å, 93.64 98.54 101.93°
Fractional coordinates of all 48 atoms:
Li  0.1578  0.1557  0.0005
Li  0.8422  0.8443  0.9995
Mn  0.0862  0.3346  0.5038
Mn  0.2523  0.9994  0.5004
Mn  0.4161  0.6654  0.5001
Mn  0.5839  0.3346  0.4999
Mn  0.7477  0.0006  0.4996
Mn  0.9138  0.6654  0.4962
Al  0.0000  0.5000  0.0000
Al  0.3309  0.8378  0.9970
Al  0.5000  0.5000  0.0000
Al  0.6691  0.1622  0.0030
H  0.0750  0.9118  0.7902
H  0.1307  0.7355  0.2042
H  0.2212  0.5818  0.7868
H  0.2803  0.4232  0.2036
H  0.4093  0.2578  0.8005
H  0.4599  0.0692  0.2092
H  0.5401  0.9308  0.7908
H  0.5907  0.7422  0.1995
H  0.7197  0.5768  0.7964
H  0.7788  0.4182  0.2132
H  0.8693  0.2645  0.7958
H  0.9250  0.0882  0.2098
O  0.0022  0.0976  0.4026
O  0.0994  0.9158  0.8922
O  0.0999  0.7241  0.1009
O  0.1728  0.7627  0.3963
O  0.1862  0.5628  0.6097
O  0.2489  0.5920  0.8922
O  0.2528  0.4177  0.1006
O  0.3390  0.4328  0.3976
O  0.3541  0.2238  0.6074
O  0.4332  0.0574  0.1062
O  0.4391  0.2745  0.9042
O  0.4986  0.9000  0.6023
O  0.5014  0.1000  0.3977
O  0.5609  0.7255  0.0958
O  0.5668  0.9426  0.8938
O  0.6459  0.7762  0.3926
O  0.6610  0.5672  0.6024
O  0.7472  0.5823  0.8994
O  0.7511  0.4080  0.1078
O  0.8138  0.4372  0.3903
O  0.8272  0.2373  0.6037
O  0.9001  0.2759  0.8991
O  0.9006  0.0842  0.1078
O  0.9978  0.9024  0.5974

Principal peaks in the range 10 to 80 degrees two-theta, in order of rising 2θ:
2θ/deg  intensity
18.67  100
36.70  20
37.28  19
37.49  19
47.11  17
47.71  16
48.01  16
57.70  9
62.06  6
63.26  7


4.
Structure and theoretical X-ray diffraction stick pattern of MgSc2Mn4O10 (a crystal structure in the Materials Project, relaxed with PBE+U; copper Kα).

Crystal structure
Cell: 5.5302 5.5302 10.0582 Å, 90.96 90.96 41.88°
Fractional coordinates of all 17 atoms:
Mg  0.0000  0.0000  0.0000
Sc  0.2996  0.2996  0.5023
Sc  0.7101  0.7101  0.0039
Mn  0.3605  0.3605  0.8075
Mn  0.3647  0.3647  0.2000
Mn  0.6320  0.6320  0.3168
Mn  0.6316  0.6316  0.6869
O  0.2030  0.2030  0.7018
O  0.2043  0.2043  0.2984
O  0.2479  0.2479  0.0075
O  0.4423  0.4423  0.6401
O  0.4484  0.4484  0.3707
O  0.5379  0.5379  0.8920
O  0.5513  0.5513  0.1393
O  0.7193  0.7193  0.4914
O  0.8500  0.8500  0.8524
O  0.8582  0.8582  0.1529

Principal peaks in the range 10 to 80 degrees two-theta, in order of rising 2θ:
2θ/deg  intensity
17.17  30
24.10  100
31.56  50
32.09  41
34.55  40
36.07  20
36.31  17
38.92  23
39.53  31
45.91  56


5.
Structure and theoretical X-ray diffraction stick pattern of KLaDyFeO6 (a crystal structure in the Materials Project, relaxed with PBE+U; copper Kα).

Crystal structure
Cell: 5.7349 5.7349 5.7349 Å, 60.00 60.00 60.00°
Fractional coordinates of all 10 atoms:
K  0.0000  0.0000  0.0000
La  0.5000  0.5000  0.5000
Dy  0.7500  0.7500  0.7500
Fe  0.2500  0.2500  0.2500
O  0.0191  0.0191  0.4809
O  0.0191  0.4809  0.0191
O  0.0191  0.4809  0.4809
O  0.4809  0.0191  0.0191
O  0.4809  0.0191  0.4809
O  0.4809  0.4809  0.0191

Principal peaks in the range 10 to 80 degrees two-theta, in order of rising 2θ:
2θ/deg  intensity
18.95  28
31.19  100
36.75  20
44.69  32
48.95  10
55.51  38
59.20  6
65.06  19
68.44  6
73.91  17


6.
Structure and theoretical X-ray diffraction stick pattern of ZnFe2O4 (a crystal structure in the Materials Project, relaxed with PBE+U; copper Kα).

Crystal structure
Cell: 6.0654 6.0654 14.8497 Å, 90.00 90.00 120.00°
Fractional coordinates of all 42 atoms:
Zn  0.0000  0.0000  0.0000
Zn  0.0000  0.0000  0.2444
Zn  0.3333  0.6667  0.2880
Zn  0.3333  0.6667  0.6649
Zn  0.3333  0.6667  0.9144
Zn  0.6667  0.3333  0.5822
Fe  0.0000  0.0000  0.6244
Fe  0.0040  0.5020  0.1234
Fe  0.1656  0.3313  0.4567
Fe  0.1656  0.8344  0.4567
Fe  0.3337  0.1668  0.7905
Fe  0.4980  0.5020  0.1234
Fe  0.4980  0.9960  0.1234
Fe  0.6667  0.3333  0.3327
Fe  0.6667  0.3333  0.9576
Fe  0.6687  0.8344  0.4567
Fe  0.8332  0.1668  0.7905
Fe  0.8332  0.6663  0.7905
O  0.0000  0.0000  0.3828
O  0.0000  0.0000  0.8631
O  0.0129  0.5064  0.3791
O  0.1530  0.3059  0.7097
O  0.1530  0.8470  0.7097
O  0.1776  0.3552  0.1988
O  0.1776  0.8224  0.1988
O  0.3048  0.1524  0.5366
O  0.3333  0.6667  0.0487
O  0.3333  0.6667  0.5280
O  0.3634  0.1817  0.0434
O  0.4936  0.5064  0.3791
O  0.4936  0.9871  0.3791
O  0.5138  0.0277  0.8693
O  0.5138  0.4862  0.8693
O  0.6448  0.8224  0.1988
O  0.6667  0.3333  0.2017
O  0.6667  0.3333  0.7167
O  0.6941  0.8470  0.7097
O  0.8183  0.1817  0.0434
O  0.8183  0.6366  0.0434
O  0.8476  0.1524  0.5366
O  0.8476  0.6952  0.5366
O  0.9723  0.4862  0.8693

Principal peaks in the range 10 to 80 degrees two-theta, in order of rising 2θ:
2θ/deg  intensity
17.91  6
29.46  34
34.69  100
36.29  8
42.15  15
52.25  12
55.69  36
61.13  44
69.29  5
72.24  10


7.
Structure and theoretical X-ray diffraction stick pattern of BaMn2Ru4O11 (a crystal structure in the Materials Project, relaxed with PBE+U; copper Kα).

Crystal structure
Cell: 6.0345 6.0345 13.5871 Å, 90.03 90.03 119.66°
Fractional coordinates of all 36 atoms:
Ba  0.1676  0.8324  0.7500
Ba  0.8324  0.1676  0.2500
Mn  0.0000  0.5000  0.5000
Mn  0.1657  0.8343  0.2500
Mn  0.5000  0.0000  0.0000
Mn  0.8343  0.1657  0.7500
Ru  0.0000  0.0000  0.0000
Ru  0.0000  0.0000  0.5000
Ru  0.0000  0.5000  0.0000
Ru  0.4933  0.4953  0.8514
Ru  0.4953  0.4933  0.3514
Ru  0.5000  0.0000  0.5000
Ru  0.5047  0.5067  0.6486
Ru  0.5067  0.5047  0.1486
O  0.1497  0.8245  0.0855
O  0.1576  0.3217  0.4196
O  0.1664  0.3342  0.0786
O  0.1755  0.8503  0.4145
O  0.2135  0.3577  0.7475
O  0.3210  0.6614  0.9201
O  0.3217  0.1576  0.9196
O  0.3342  0.1664  0.5786
O  0.3386  0.6790  0.5799
O  0.3553  0.6447  0.2500
O  0.3577  0.2135  0.2475
O  0.6423  0.7865  0.7525
O  0.6447  0.3553  0.7500
O  0.6614  0.3210  0.4201
O  0.6658  0.8336  0.4214
O  0.6783  0.8424  0.0804
O  0.6790  0.3386  0.0799
O  0.7865  0.6423  0.2525
O  0.8245  0.1497  0.5855
O  0.8336  0.6658  0.9214
O  0.8424  0.6783  0.5804
O  0.8503  0.1755  0.9145

Principal peaks in the range 10 to 80 degrees two-theta, in order of rising 2θ:
2θ/deg  intensity
29.45  19
29.61  27
31.39  100
32.33  24
32.47  63
34.20  19
36.74  32
53.46  63
53.60  35
61.46  26


8.
Structure and theoretical X-ray diffraction stick pattern of Li4Mn3Cr2Fe3O16 (a crystal structure in the Materials Project, relaxed with PBE+U; copper Kα).

Crystal structure
Cell: 5.8798 5.8798 9.5222 Å, 90.53 90.53 59.62°
Fractional coordinates of all 28 atoms:
Li  0.0000  0.0000  0.0000
Li  0.0007  0.0007  0.5017
Li  0.3305  0.3305  0.4000
Li  0.6643  0.6643  0.8983
Mn  0.1698  0.1698  0.7190
Mn  0.3370  0.8312  0.2191
Mn  0.8312  0.3370  0.2191
Cr  0.3345  0.3345  0.9907
Cr  0.6684  0.6684  0.4906
Fe  0.1690  0.6630  0.7185
Fe  0.6630  0.1690  0.7185
Fe  0.8316  0.8316  0.2179
O  0.0052  0.0052  0.3154
O  0.0059  0.0059  0.8139
O  0.0357  0.4732  0.8454
O  0.1602  0.1602  0.1098
O  0.1688  0.6756  0.1045
O  0.3277  0.3277  0.6088
O  0.3280  0.8418  0.6044
O  0.4732  0.0357  0.8454
O  0.4792  0.4792  0.8491
O  0.5076  0.9622  0.3445
O  0.5176  0.5176  0.3385
O  0.6601  0.6601  0.1121
O  0.6756  0.1688  0.1045
O  0.8355  0.8355  0.6023
O  0.8418  0.3280  0.6044
O  0.9622  0.5076  0.3445

Principal peaks in the range 10 to 80 degrees two-theta, in order of rising 2θ:
2θ/deg  intensity
18.64  83
19.65  23
19.83  100
36.06  44
36.60  33
40.23  24
45.67  28
45.91  39
61.01  28
63.27  34


9.
Structure and theoretical X-ray diffraction stick pattern of SrCrO3 (a crystal structure in the Materials Project, relaxed with PBE+U; copper Kα).

Crystal structure
Cell: 5.5315 5.5526 13.6856 Å, 89.99 89.99 60.19°
Fractional coordinates of all 30 atoms:
Sr  0.0000  0.0000  0.0000
Sr  0.0000  0.0002  0.3140
Sr  0.3339  0.3329  0.5000
Sr  0.3337  0.3325  0.8135
Sr  0.6705  0.6665  0.1567
Sr  0.6717  0.6668  0.6567
Cr  0.0061  0.0035  0.7514
Cr  0.0065  0.0035  0.5621
Cr  0.3436  0.3292  0.0619
Cr  0.3438  0.3294  0.2512
Cr  0.6724  0.6655  0.9065
Cr  0.6730  0.6656  0.4066
O  0.1527  0.6950  0.6565
O  0.1615  0.1571  0.6567
O  0.1794  0.1839  0.1567
O  0.1804  0.6382  0.1566
O  0.3355  0.8275  0.4877
O  0.3346  0.8275  0.8256
O  0.4934  0.0050  0.9887
O  0.4947  0.0047  0.3245
O  0.4952  0.5050  0.9876
O  0.4965  0.5049  0.3254
O  0.6512  0.1762  0.1564
O  0.6975  0.1490  0.6564
O  0.8263  0.8266  0.8259
O  0.8274  0.8270  0.4869
O  0.8312  0.3276  0.8246
O  0.8324  0.3278  0.4885
O  0.9875  0.5051  0.9863
O  0.9885  0.5054  0.3270

Principal peaks in the range 10 to 80 degrees two-theta, in order of rising 2θ:
2θ/deg  intensity
26.95  37
32.12  100
32.23  99
32.37  49
42.58  28
46.08  22
46.22  47
57.37  28
57.60  21
67.43  22